Computed powder diffractogram
Compound: U2PtSe4Cl
Radiation: copper Kα
Structure: DFT lattice parameters and positions (GGA-PBE)
Neutral-atom scattering factors, no anomalous dispersion.

The 8 most intense peaks (2θ from 10° to 90°), low angle first:
2θ/deg	d_spacing	I/Imax
10.73	8.246	58
17.17	5.164	24
29.33	3.045	17
31.46	2.843	100
35.23	2.547	33
36.73	2.447	21
45.86	1.979	24
50.00	1.824	19

```
U2PtSe4Cl
1.0
6.659 -1.901 0.000
6.659 1.901 0.000
-6.603 0.000 8.246
U Pt Se Cl
2 1 4 1
Direct
0.209 0.209 0.287
0.791 0.791 0.713
0.000 0.000 0.500
0.184 0.184 0.790
0.394 0.394 0.619
0.606 0.606 0.381
0.816 0.816 0.210
0.500 0.500 0.000
```